# Li3Zr4P6O24
Simulated powder diffractogram, λ = 1.5418 Å (Cu Kα). Input: a crystal structure in the Materials Project, relaxed with GGA-PBE.

Atomic structure:
```
data_Li3Zr4P6O24
_cell_length_a 8.9468
_cell_length_b 9.0150
_cell_length_c 9.0198
_cell_angle_alpha 61.38
_cell_angle_beta 60.41
_cell_angle_gamma 60.26
_symmetry_space_group_name_H-M 'P 1'
_symmetry_Int_Tables_number 1
loop_
_symmetry_equiv_pos_as_xyz
'x,y,z'
loop_
_atom_site_label
_atom_site_type_symbol
_atom_site_fract_x
_atom_site_fract_y
_atom_site_fract_z
Li1 Li 0.0000 0.0000 0.0000
Li2 Li 0.0975 0.6412 0.3677
Li3 Li 0.5853 0.4703 0.5401
Zr1 Zr 0.1954 0.9650 0.3197
Zr2 Zr 0.4145 0.1759 0.5459
Zr3 Zr 0.6890 0.4583 0.8297
Zr4 Zr 0.9059 0.6802 0.0395
P1 P 0.0071 0.3674 0.4294
P2 P 0.0926 0.2742 0.9346
P3 P 0.2981 0.7852 0.7190
P4 P 0.5074 0.5691 0.2308
P5 P 0.5924 0.0726 0.1414
P6 P 0.8085 0.8510 0.6396
O1 O 0.0438 0.4314 0.9927
O2 O 0.0545 0.2080 0.3738
O3 O 0.1150 0.0908 0.0882
O4 O 0.1371 0.7749 0.9000
O5 O 0.1568 0.3428 0.4879
O6 O 0.2447 0.8229 0.5628
O7 O 0.2711 0.2610 0.7737
O8 O 0.3163 0.7186 0.2549
O9 O 0.3495 0.9429 0.6828
O10 O 0.4441 0.0070 0.1771
O11 O 0.4600 0.6044 0.7298
O12 O 0.4932 0.4123 0.4115
O13 O 0.5457 0.1233 0.3040
O14 O 0.5521 0.5159 0.0721
O15 O 0.6049 0.2334 0.9691
O16 O 0.6514 0.0313 0.6110
O17 O 0.6539 0.6302 0.2067
O18 O 0.7595 0.6906 0.6798
O19 O 0.7840 0.9225 0.1150
O20 O 0.8179 0.3888 0.5812
O21 O 0.8555 0.8219 0.7967
O22 O 0.9377 0.2907 0.8874
O23 O 0.9749 0.8563 0.4616
O24 O 0.9932 0.5476 0.2729
```

Peak list (10 most intense, 10 to 90 degrees two-theta, sorted by position)
2θ/deg  intensity  h k l
13.80  19  1 0 1
19.29  16  0 1 -1
19.69  100  1 1 2
19.85  26  2 1 1
22.84  26  1 0 2
23.17  48  0 1 2
27.81  37  2 0 2
31.50  19  3 2 1
33.97  31  1 1 -2
34.63  23  -2 1 1